Starting from a crystal structure in Alexandria, relaxed with GGA-PBE, the XRD peak list of Ac3Pb2Se was computed for Cu Kα (λ = 1.5418 Å).
No peak broadening, texture or thermal motion is included.

Main lines, in order of rising 2θ (2θ from 15° to 90°):
(0 2 0), 26.55°, I 100; (0 0 6), 37.38°, I 13; (1 2 3), 37.89°, I 53; (0 2 6), 46.41°, I 14; (2 2 0), 47.34°, I 14; (1 4 3), 61.77°, I 26

Structure:
```
data_Ac3Pb2Se
_chemical_formula_sum 'Ac6 Pb4 Se2'
_cell_length_a 4.6787
_cell_length_b 6.7242
_cell_length_c 14.4331
_cell_angle_alpha 90.00
_cell_angle_beta 90.00
_cell_angle_gamma 90.00
_symmetry_space_group_name_H-M 'I m m m'
_symmetry_Int_Tables_number 71
_symmetry_space_group_name_Hall '-I 2 2'
loop_
_atom_site_label
_atom_site_type_symbol
_atom_site_fract_x
_atom_site_fract_y
_atom_site_fract_z
Ac1 Ac 0.0000 0.0000 0.0000
Ac2 Ac 0.0000 0.0000 0.3433
Pb1 Pb 0.0000 0.5000 0.3317
Se1 Se 0.0000 0.5000 0.0000
```

---

Starting from a crystal structure in Alexandria, relaxed with GGA-PBE, the XRD peak list of CdAgBrO was computed for Cu Kα (λ = 1.5418 Å).
No peak broadening, texture or thermal motion is included.

Main lines, in order of rising 2θ (2θ from 15° to 90°):
(0 1 2), 25.95°, I 55; (0 1 5), 28.16°, I 62; (0 1 8), 31.89°, I 58; (1 0 10), 35.01°, I 86; (1 0 13), 40.41°, I 63; (1 1 0), 44.96°, I 100

Structure:
```
data_CdAgBrO
_chemical_formula_sum 'Cd6 Ag6 Br6 O6'
_cell_length_a 4.0326
_cell_length_b 4.0326
_cell_length_c 37.7318
_cell_angle_alpha 90.00
_cell_angle_beta 90.00
_cell_angle_gamma 120.00
_symmetry_space_group_name_H-M 'R -3 m'
_symmetry_Int_Tables_number 166
_symmetry_space_group_name_Hall '-R 3 2"'
loop_
_atom_site_label
_atom_site_type_symbol
_atom_site_fract_x
_atom_site_fract_y
_atom_site_fract_z
Cd1 Cd 0.0000 0.0000 0.1981
Ag1 Ag 0.0000 0.0000 0.4160
Br1 Br 0.0000 0.0000 0.2846
O1 O 0.0000 0.0000 0.1362
```

---

Starting from a crystal structure in Alexandria, relaxed with GGA-PBE, the XRD peak list of AcPa3Tl4S12 was computed for Cu Kα (λ = 1.5418 Å).
No peak broadening, texture or thermal motion is included.

Main lines, in order of rising 2θ (2θ from 15° to 90°):
(2 2 0), 23.38°, I 100; (4 0 0), 33.30°, I 37; (4 2 2), 41.09°, I 48; (4 4 0), 47.81°, I 27; (6 2 0), 53.88°, I 23; (6 4 2), 64.84°, I 26

Structure:
```
data_AcPa3Tl4S12
_chemical_formula_sum 'Ac2 Pa6 Tl8 S24'
_cell_length_a 10.7610
_cell_length_b 10.7610
_cell_length_c 10.7610
_cell_angle_alpha 90.00
_cell_angle_beta 90.00
_cell_angle_gamma 90.00
_symmetry_space_group_name_H-M 'I m -3 m'
_symmetry_Int_Tables_number 229
_symmetry_space_group_name_Hall '-I 4 2 3'
loop_
_atom_site_label
_atom_site_type_symbol
_atom_site_fract_x
_atom_site_fract_y
_atom_site_fract_z
Ac1 Ac 0.0000 0.0000 0.0000
Pa1 Pa 0.0000 0.0000 0.5000
Tl1 Tl 0.2500 0.2500 0.2500
S1 S 0.0000 0.0000 0.2652
S2 S 0.0000 0.2500 0.5000
```

---

Starting from a crystal structure in Alexandria, relaxed with GGA-PBE, the XRD peak list of Sm2Th4Pb3N2 was computed for Cu Kα (λ = 1.5418 Å).
No peak broadening, texture or thermal motion is included.

Main lines, in order of rising 2θ (2θ from 15° to 90°):
(0 0 8), 26.93°, I 47; (1 1 4), 29.40°, I 23; (1 1 6), 33.12°, I 100; (2 0 0), 37.22°, I 50; (2 2 0), 53.66°, I 18; (3 1 6), 64.53°, I 31

Structure:
```
data_Sm2Th4Pb3N2
_chemical_formula_sum 'Sm4 Th8 Pb6 N4'
_cell_length_a 4.8313
_cell_length_b 4.8313
_cell_length_c 26.5583
_cell_angle_alpha 90.00
_cell_angle_beta 90.00
_cell_angle_gamma 90.00
_symmetry_space_group_name_H-M 'I 4/m m m'
_symmetry_Int_Tables_number 139
_symmetry_space_group_name_Hall '-I 4 2'
loop_
_atom_site_label
_atom_site_type_symbol
_atom_site_fract_x
_atom_site_fract_y
_atom_site_fract_z
Sm1 Sm 0.0000 0.0000 0.1958
Th1 Th 0.0000 0.5000 0.0848
Pb1 Pb 0.0000 0.0000 0.3199
Pb2 Pb 0.0000 0.0000 0.5000
N1 N 0.0000 0.0000 0.1034
```

---

Starting from a crystal structure in Alexandria, relaxed with GGA-PBE, the XRD peak list of MnGaSiRhSe was computed for Cu Kα (λ = 1.5418 Å).
No peak broadening, texture or thermal motion is included.

Main lines, in order of rising 2θ (2θ from 15° to 90°):
(0 1 1), 28.31°, I 100; (0 1 2), 35.34°, I 57; (1 1 1), 41.96°, I 78; (0 1 3), 44.93°, I 67; (1 1 2), 47.24°, I 97; (1 0 3), 47.99°, I 79

Structure:
```
data_MnGaSiRhSe
_chemical_formula_sum 'Mn1 Ga1 Si1 Rh1 Se1'
_cell_length_a 2.9477
_cell_length_b 3.4819
_cell_length_c 7.4263
_cell_angle_alpha 90.00
_cell_angle_beta 90.00
_cell_angle_gamma 90.00
_symmetry_space_group_name_H-M 'P m m 2'
_symmetry_Int_Tables_number 25
loop_
_symmetry_equiv_pos_as_xyz
'x,y,z'
'-x,-y,z'
'-x,y,z'
'x,-y,z'
loop_
_atom_site_label
_atom_site_type_symbol
_atom_site_fract_x
_atom_site_fract_y
_atom_site_fract_z
Mn1 Mn 0.0000 0.0000 0.0000
Ga1 Ga 0.5000 0.5000 0.1372
Si1 Si 0.0000 0.0000 0.3433
Rh1 Rh 0.5000 0.5000 0.4902
Se1 Se 0.5000 0.0000 0.7560
```

---

Starting from a crystal structure in Alexandria, relaxed with GGA-PBE, the XRD peak list of Ni2P2Se3S3 was computed for Cu Kα (λ = 1.5418 Å).
No peak broadening, texture or thermal motion is included.

Main lines, in order of rising 2θ (2θ from 15° to 90°):
(0 0 2), 25.01°, I 40; (-1 1 1), 34.12°, I 100; (1 2 -1), 34.34°, I 88; (2 1 2), 34.43°, I 84; (1 2 3), 45.40°, I 47; (0 3 0), 52.52°, I 32

Structure:
```
data_Ni2P2Se3S3
_chemical_formula_sum 'Ni2 P2 Se3 S3'
_cell_length_a 5.9626
_cell_length_b 5.9984
_cell_length_c 7.3955
_cell_angle_alpha 82.24
_cell_angle_beta 74.31
_cell_angle_gamma 60.60
_symmetry_space_group_name_H-M 'P 1'
_symmetry_Int_Tables_number 1
loop_
_symmetry_equiv_pos_as_xyz
'x,y,z'
loop_
_atom_site_label
_atom_site_type_symbol
_atom_site_fract_x
_atom_site_fract_y
_atom_site_fract_z
Ni1 Ni 0.0000 0.0000 0.0000
Ni2 Ni 0.3334 0.3468 0.0003
P1 P 0.6288 0.6590 0.1465
P2 P 0.7079 0.6715 0.8385
Se1 Se 0.0977 0.3148 0.7696
Se2 Se 0.2446 0.0196 0.2230
Se3 Se 0.7384 0.0315 0.7712
S1 S 0.3823 0.6730 0.7910
S2 S 0.6037 0.3249 0.2048
S3 S 0.9449 0.6669 0.2028
```

---

Starting from a crystal structure in Alexandria, relaxed with GGA-PBE, the XRD peak list of Th3SiB2Rh9 was computed for Cu Kα (λ = 1.5418 Å).
No peak broadening, texture or thermal motion is included.

Main lines, in order of rising 2θ (2θ from 15° to 90°):
(0 0 3), 33.14°, I 38; (0 2 1), 36.53°, I 100; (2 0 2), 41.47°, I 76; (0 2 4), 57.83°, I 24; (2 2 0), 62.30°, I 24; (2 2 3), 72.41°, I 24

Structure:
```
data_Th3SiB2Rh9
_chemical_formula_sum 'Th3 Si1 B2 Rh9'
_cell_length_a 5.9613
_cell_length_b 5.9613
_cell_length_c 8.1091
_cell_angle_alpha 90.00
_cell_angle_beta 90.00
_cell_angle_gamma 120.00
_symmetry_space_group_name_H-M 'P -3 m 1'
_symmetry_Int_Tables_number 164
_symmetry_space_group_name_Hall '-P 3 2"'
loop_
_atom_site_label
_atom_site_type_symbol
_atom_site_fract_x
_atom_site_fract_y
_atom_site_fract_z
Th1 Th 0.0000 0.0000 0.0000
Th2 Th 0.3333 0.6667 0.6575
Si1 Si 0.0000 0.0000 0.5000
B1 B 0.3333 0.6667 0.1509
Rh1 Rh 0.0000 0.5000 0.0000
Rh2 Rh 0.1685 0.3369 0.3026
```

---

Starting from a crystal structure in Alexandria, relaxed with GGA-PBE, the XRD peak list of NdI3O10 was computed for Cu Kα (λ = 1.5418 Å).
No peak broadening, texture or thermal motion is included.

Main lines, in order of rising 2θ (2θ from 15° to 90°):
(1 1 1), 21.92°, I 57; (0 1 2), 22.64°, I 45; (1 0 2), 25.27°, I 38; (0 2 0), 26.20°, I 45; (2 1 -1), 27.14°, I 100; (1 1 -3), 29.85°, I 37

Structure:
```
data_NdI3O10
_chemical_formula_sum 'Nd2 I6 O20'
_cell_length_a 7.5232
_cell_length_b 6.8023
_cell_length_c 10.1104
_cell_angle_alpha 90.00
_cell_angle_beta 107.87
_cell_angle_gamma 90.00
_symmetry_space_group_name_H-M 'P 1 21 1'
_symmetry_Int_Tables_number 4
loop_
_symmetry_equiv_pos_as_xyz
'x,y,z'
'-x,y+1/2,-z'
loop_
_atom_site_label
_atom_site_type_symbol
_atom_site_fract_x
_atom_site_fract_y
_atom_site_fract_z
Nd1 Nd 0.2481 0.0000 0.3095
I1 I 0.1016 0.8670 0.9116
I2 I 0.1685 0.4713 0.5424
I3 I 0.4800 0.5218 0.2775
O1 O 0.0057 0.6131 0.8948
O2 O 0.0354 0.3667 0.6499
O3 O 0.1132 0.2782 0.4093
O4 O 0.2546 0.8232 0.0935
O5 O 0.2682 0.8185 0.8135
O6 O 0.3003 0.6401 0.3422
O7 O 0.3271 0.0720 0.9624
O8 O 0.3554 0.9474 0.5573
O9 O 0.3582 0.2902 0.2241
O10 O 0.4062 0.4033 0.6467
```

---

Starting from a crystal structure in Alexandria, relaxed with GGA-PBE, the XRD peak list of Dy3SbSe6 was computed for Cu Kα (λ = 1.5418 Å).
No peak broadening, texture or thermal motion is included.

Main lines, in order of rising 2θ (2θ from 15° to 90°):
(3 0 -1), 22.44°, I 53; (1 1 1), 25.11°, I 49; (1 1 2), 29.45°, I 100; (4 0 -2), 30.54°, I 56; (3 1 0), 32.27°, I 50; (0 2 0), 43.69°, I 60

Structure:
```
data_Dy3SbSe6
_chemical_formula_sum 'Dy6 Sb2 Se12'
_cell_length_a 11.8746
_cell_length_b 4.1446
_cell_length_c 11.9014
_cell_angle_alpha 90.00
_cell_angle_beta 109.57
_cell_angle_gamma 90.00
_symmetry_space_group_name_H-M 'P 1 21/m 1'
_symmetry_Int_Tables_number 11
loop_
_symmetry_equiv_pos_as_xyz
'x,y,z'
'-x,-y,-z'
'-x,y+1/2,-z'
'x,-y+1/2,z'
loop_
_atom_site_label
_atom_site_type_symbol
_atom_site_fract_x
_atom_site_fract_y
_atom_site_fract_z
Dy1 Dy 0.0101 0.2500 0.3363
Dy2 Dy 0.3342 0.7500 0.4288
Dy3 Dy 0.4276 0.2500 0.8413
Sb1 Sb 0.1831 0.7500 0.9952
Se1 Se 0.0267 0.2500 0.8815
Se2 Se 0.1208 0.7500 0.4901
Se3 Se 0.2200 0.2500 0.2688
Se4 Se 0.2455 0.7500 0.7964
Se5 Se 0.4018 0.2500 0.0743
Se6 Se 0.4372 0.2500 0.6069
```

---

Starting from a crystal structure in Alexandria, relaxed with GGA-PBE, the XRD peak list of Dy3Al5Co2 was computed for Cu Kα (λ = 1.5418 Å).
No peak broadening, texture or thermal motion is included.

Main lines, in order of rising 2θ (2θ from 15° to 90°):
(0 0 1), 21.91°, I 66; (3 1 0), 29.51°, I 55; (2 1 1), 30.36°, I 35; (2 2 1), 34.52°, I 39; (3 1 1), 37.06°, I 100; (4 1 0), 38.79°, I 36

Structure:
```
data_Dy3Al5Co2
_chemical_formula_sum 'Dy6 Al10 Co4'
_cell_length_a 9.5709
_cell_length_b 9.5709
_cell_length_c 4.0559
_cell_angle_alpha 90.00
_cell_angle_beta 90.00
_cell_angle_gamma 90.00
_symmetry_space_group_name_H-M 'P 4/m b m'
_symmetry_Int_Tables_number 127
_symmetry_space_group_name_Hall '-P 4 2ab'
loop_
_atom_site_label
_atom_site_type_symbol
_atom_site_fract_x
_atom_site_fract_y
_atom_site_fract_z
Dy1 Dy 0.0000 0.0000 0.0000
Dy2 Dy 0.1764 0.3236 0.0000
Al1 Al 0.0000 0.5000 0.5000
Al2 Al 0.0684 0.7717 0.5000
Co1 Co 0.1151 0.6151 0.0000
```

---

Starting from a crystal structure in Alexandria, relaxed with GGA-PBE, the XRD peak list of Ac5Tb was computed for Cu Kα (λ = 1.5418 Å).
No peak broadening, texture or thermal motion is included.

Main lines, in order of rising 2θ (2θ from 15° to 90°):
(3 1 0), 27.80°, I 100; (4 0 -2), 27.98°, I 33; (1 1 -2), 32.26°, I 68; (2 0 -4), 46.39°, I 25; (2 2 2), 54.71°, I 21; (1 1 4), 54.88°, I 26

Structure:
```
data_Ac5Tb
_chemical_formula_sum 'Ac10 Tb2'
_cell_length_a 17.0652
_cell_length_b 3.9419
_cell_length_c 7.8234
_cell_angle_alpha 90.00
_cell_angle_beta 102.98
_cell_angle_gamma 90.00
_symmetry_space_group_name_H-M 'C 1 2/m 1'
_symmetry_Int_Tables_number 12
loop_
_symmetry_equiv_pos_as_xyz
'x,y,z'
'-x,-y,-z'
'-x,y,-z'
'x,-y,z'
'x+1/2,y+1/2,z'
'-x+1/2,-y+1/2,-z'
'-x+1/2,y+1/2,-z'
'x+1/2,-y+1/2,z'
loop_
_atom_site_label
_atom_site_type_symbol
_atom_site_fract_x
_atom_site_fract_y
_atom_site_fract_z
Ac1 Ac 0.0000 0.0000 0.0000
Ac2 Ac 0.1626 0.5000 0.3375
Ac3 Ac 0.1641 0.5000 0.8273
Tb1 Tb 0.0000 0.0000 0.5000
```

---

Starting from a crystal structure in Alexandria, relaxed with GGA-PBE, the XRD peak list of CaLa5Pr2Nd was computed for Cu Kα (λ = 1.5418 Å).
No peak broadening, texture or thermal motion is included.

Main lines, in order of rising 2θ (2θ from 15° to 90°):
(2 2 0), 26.81°, I 43; (2 1 3), 27.44°, I 42; (2 0 4), 30.03°, I 100; (3 2 1), 34.89°, I 20; (4 2 4), 49.41°, I 18; (4 4 0), 55.23°, I 29

Structure:
```
data_CaLa5Pr2Nd
_chemical_formula_sum 'Ca4 La20 Pr8 Nd4'
_cell_length_a 9.4037
_cell_length_b 9.4037
_cell_length_c 15.3734
_cell_angle_alpha 90.00
_cell_angle_beta 90.00
_cell_angle_gamma 90.00
_symmetry_space_group_name_H-M 'I 4/m c m'
_symmetry_Int_Tables_number 140
_symmetry_space_group_name_Hall '-I 4 2c'
loop_
_atom_site_label
_atom_site_type_symbol
_atom_site_fract_x
_atom_site_fract_y
_atom_site_fract_z
Ca1 Ca 0.0000 0.5000 0.2500
La1 La 0.0000 0.0000 0.0000
La2 La 0.2090 0.2910 0.1308
Pr1 Pr 0.1138 0.3862 0.5000
Nd1 Nd 0.0000 0.0000 0.2500
```